# 1
Calculated powder diffraction line list of Mg6CdBi for λ = 1.5418 Å (Cu Kα), from a DFT-relaxed cell (GGA-PBE, the Materials Project).

a = 5.3819 Å, b = 6.5097 Å, c = 10.9223 Å
α = 90.00°, β = 90.00°, γ = 90.00°
Atoms (fractional coordinates):
Mg1 0.0000 0.0000 0.0000
Mg2 0.0000 0.0000 0.4978
Mg3 0.0000 0.2462 0.2507
Mg4 0.0000 0.2538 0.7507
Mg5 0.0000 0.5000 0.5000
Mg6 0.0000 0.5000 0.9978
Mg7 0.0000 0.7462 0.7507
Mg8 0.0000 0.7538 0.2507
Mg9 0.5000 0.2505 0.4169
Mg10 0.5000 0.2495 0.9169
Mg11 0.5000 0.7495 0.4169
Mg12 0.5000 0.7505 0.9169
Cd1 0.5000 0.0000 0.1656
Cd2 0.5000 0.5000 0.6656
Bi1 0.5000 0.0000 0.6666
Bi2 0.5000 0.5000 0.1666

Principal peaks in the range 2θ = 15–90°, by intensity:
Position (°2θ)  I (rel.)
36.20  100.0
16.23  66.0
16.47  64.4
23.20  59.6
36.91  47.5
32.01  41.1
33.30  37.8
46.86  28.6
32.14  26.5
61.42  25.4


# 2
Calculated powder diffraction line list of Mg6CdBiO8 for λ = 1.5418 Å (Cu Kα), from a DFT-relaxed cell (GGA-PBE, the Materials Project).

a = 4.5996 Å, b = 4.5996 Å, c = 8.9969 Å
α = 90.00°, β = 90.00°, γ = 90.00°
Atoms (fractional coordinates):
Mg1 0.0000 0.0000 0.0000
Mg2 0.0000 0.5000 0.2294
Mg3 0.0000 0.5000 0.7706
Mg4 0.5000 0.0000 0.2294
Mg5 0.5000 0.0000 0.7706
Mg6 0.5000 0.5000 0.0000
Cd1 0.0000 0.0000 0.5000
Bi1 0.5000 0.5000 0.5000
O1 0.0000 0.0000 0.2268
O2 0.0000 0.0000 0.7732
O3 0.0000 0.5000 0.0000
O4 0.0000 0.5000 0.5000
O5 0.5000 0.0000 0.0000
O6 0.5000 0.0000 0.5000
O7 0.5000 0.5000 0.2287
O8 0.5000 0.5000 0.7713

Principal peaks in the range 2θ = 15–90°, by intensity:
Position (°2θ)  I (rel.)
39.17  100.0
34.01  93.5
29.20  89.1
19.74  57.8
57.29  56.3
27.42  50.6
40.09  43.2
29.79  32.3
40.93  32.2
56.60  31.6


# 3
Calculated powder diffraction line list of MgCd2Bi2O6 for λ = 1.5418 Å (Cu Kα), from a DFT-relaxed cell (GGA-PBE, the Materials Project).

a = 6.7249 Å, b = 6.7249 Å, c = 6.7249 Å
α = 50.73°, β = 50.73°, γ = 50.73°
Atoms (fractional coordinates):
Mg1 0.0000 0.0000 0.0000
Cd1 0.3721 0.3721 0.3721
Cd2 0.6279 0.6279 0.6279
Bi1 0.1921 0.1921 0.1921
Bi2 0.8079 0.8079 0.8079
O1 0.0308 0.3993 0.7840
O2 0.2160 0.9692 0.6007
O3 0.3993 0.7840 0.0308
O4 0.6007 0.2160 0.9692
O5 0.7840 0.0308 0.3993
O6 0.9692 0.6007 0.2160

Principal peaks in the range 2θ = 15–90°, by intensity:
Position (°2θ)  I (rel.)
31.04  100.0
31.17  80.1
55.27  61.5
20.48  61.0
44.57  35.5
44.14  21.7
40.29  20.2
34.72  15.0
73.58  13.5
64.72  13.2


# 4
Calculated powder diffraction line list of MgCd2Bi2O6 for λ = 1.5418 Å (Cu Kα), from a DFT-relaxed cell (GGA-PBE, the Materials Project).

a = 5.5646 Å, b = 5.7711 Å, c = 6.7800 Å
α = 112.54°, β = 92.44°, γ = 117.61°
Atoms (fractional coordinates):
Mg1 0.0000 0.0000 0.0000
Cd1 0.6590 0.2273 0.8618
Cd2 0.8922 0.6600 0.4177
Bi1 0.2521 0.4437 0.6463
Bi2 0.4708 0.8374 0.2211
O1 0.1304 0.3612 0.9347
O2 0.3331 0.9437 0.9834
O3 0.3343 0.0863 0.5531
O4 0.6997 0.7637 0.6953
O5 0.7689 0.6816 0.1040
O6 0.8999 0.2451 0.2899

Principal peaks in the range 2θ = 15–90°, by intensity:
Position (°2θ)  I (rel.)
30.51  100.0
29.47  55.8
31.72  50.5
31.12  47.4
32.20  41.6
44.57  39.2
18.70  30.3
52.90  24.8
43.81  23.6
57.13  19.8


# 5
Calculated powder diffraction line list of Mg6CdBiO8 for λ = 1.5418 Å (Cu Kα), from a DFT-relaxed cell (GGA-PBE, the Materials Project).

a = 4.5749 Å, b = 4.5749 Å, c = 9.1893 Å
α = 90.00°, β = 90.00°, γ = 90.00°
Atoms (fractional coordinates):
Mg1 0.0000 0.0000 0.0000
Mg2 0.0000 0.0000 0.5000
Mg3 0.0000 0.5000 0.2351
Mg4 0.0000 0.5000 0.7649
Mg5 0.5000 0.0000 0.2351
Mg6 0.5000 0.0000 0.7649
Cd1 0.5000 0.5000 0.0000
Bi1 0.5000 0.5000 0.5000
O1 0.0000 0.0000 0.2529
O2 0.0000 0.0000 0.7471
O3 0.0000 0.5000 0.0000
O4 0.0000 0.5000 0.5000
O5 0.5000 0.0000 0.0000
O6 0.5000 0.0000 0.5000
O7 0.5000 0.5000 0.2478
O8 0.5000 0.5000 0.7522

Principal peaks in the range 2θ = 15–90°, by intensity:
Position (°2θ)  I (rel.)
19.37  100.0
27.53  86.9
39.39  56.8
33.89  54.2
56.80  35.2
44.25  33.2
39.21  28.1
48.72  25.0
60.64  19.6
56.93  17.9


# 6
Calculated powder diffraction line list of MgCd2Bi2O6 for λ = 1.5418 Å (Cu Kα), from a DFT-relaxed cell (GGA-PBE, the Materials Project).

a = 5.8067 Å, b = 5.8067 Å, c = 6.7961 Å
α = 64.74°, β = 89.98°, γ = 60.00°
Atoms (fractional coordinates):
Mg1 0.0000 0.0000 0.0000
Cd1 0.5952 0.8092 0.7873
Cd2 0.7712 0.4578 0.3134
Bi1 0.2216 0.5565 0.6666
Bi2 0.4114 0.1765 0.2355
O1 0.1904 0.3121 0.5059
O2 0.3503 0.6572 0.0215
O3 0.4955 0.6867 0.5038
O4 0.6802 0.9683 0.0240
O5 0.8173 0.9921 0.5052
O6 0.9920 0.3288 0.0220

Principal peaks in the range 2θ = 15–90°, by intensity:
Position (°2θ)  I (rel.)
30.82  100.0
54.78  35.8
43.69  29.2
18.34  27.1
44.14  17.9
89.27  12.5
72.87  9.5
20.30  8.3
64.16  7.8
60.25  7.6